# 1
LiPuP: theoretical X-ray powder pattern (Cu Ka), based on DFT lattice parameters and positions (GGA-PBE).
Lines closer than 0.1° are merged.

Largest 10 diffraction maxima, low angle first, 10° ≤ 2θ ≤ 90°:
d = 7.457 Å, intensity 79
d = 3.807 Å, intensity 27
d = 3.086 Å, intensity 100
d = 2.784 Å, intensity 60
d = 2.608 Å, intensity 31
d = 2.377 Å, intensity 41
d = 1.968 Å, intensity 24
d = 1.854 Å, intensity 27
d = 1.660 Å, intensity 35
d = 1.516 Å, intensity 21

Structural model:
Cell: 7.959 7.959 7.959 Å, 151.36 151.36 40.94°
Positions (direct):
Li (0.000, 0.500, 0.500)
Li (0.500, 0.000, 0.500)
Pu (0.175, 0.175, 0.000)
Pu (0.825, 0.825, 0.000)
P (0.373, 0.373, 0.000)
P (0.627, 0.627, 0.000)



# 2
Ca3GeCl2O4: theoretical X-ray powder pattern (Cu Ka), based on DFT lattice parameters and positions (GGA-PBE).
Lines closer than 0.1° are merged.

Largest 10 diffraction maxima, low angle first, 10° ≤ 2θ ≤ 90°:
d = 4.920 Å, intensity 44
d = 3.881 Å, intensity 41
d = 3.635 Å, intensity 46
d = 3.198 Å, intensity 72
d = 3.019 Å, intensity 89
d = 2.932 Å, intensity 100
d = 2.856 Å, intensity 87
d = 2.427 Å, intensity 43
d = 2.053 Å, intensity 37
d = 1.729 Å, intensity 45

Structural model:
Cell: 12.626 10.329 5.596 Å, 90.00 90.00 90.00°
Positions (direct):
Ca (0.063, 0.250, 0.130)
Ca (0.160, 0.579, 0.435)
Ca (0.160, 0.921, 0.435)
Ca (0.340, 0.079, 0.935)
Ca (0.340, 0.421, 0.935)
Ca (0.437, 0.750, 0.630)
Ca (0.563, 0.250, 0.370)
Ca (0.660, 0.579, 0.065)
Ca (0.660, 0.921, 0.065)
Ca (0.840, 0.079, 0.565)
Ca (0.840, 0.421, 0.565)
Ca (0.937, 0.750, 0.870)
Ge (0.219, 0.750, 0.878)
Ge (0.281, 0.250, 0.378)
Ge (0.719, 0.750, 0.622)
Ge (0.781, 0.250, 0.122)
Cl (0.047, 0.079, 0.752)
Cl (0.047, 0.421, 0.752)
Cl (0.453, 0.579, 0.252)
Cl (0.453, 0.921, 0.252)
Cl (0.547, 0.079, 0.748)
Cl (0.547, 0.421, 0.748)
Cl (0.953, 0.579, 0.248)
Cl (0.953, 0.921, 0.248)
O (0.100, 0.750, 0.700)
O (0.198, 0.750, 0.186)
O (0.209, 0.115, 0.254)
O (0.209, 0.385, 0.254)
O (0.291, 0.615, 0.754)
O (0.291, 0.885, 0.754)
O (0.302, 0.250, 0.686)
O (0.400, 0.250, 0.200)
O (0.600, 0.750, 0.800)
O (0.698, 0.750, 0.314)
O (0.709, 0.115, 0.246)
O (0.709, 0.385, 0.246)
O (0.791, 0.615, 0.746)
O (0.791, 0.885, 0.746)
O (0.802, 0.250, 0.814)
O (0.900, 0.250, 0.300)



# 3
PaFeH6Pd: theoretical X-ray powder pattern (Cu Ka), based on DFT lattice parameters and positions (GGA-PBE).
Lines closer than 0.1° are merged.

Largest 10 diffraction maxima, low angle first, 10° ≤ 2θ ≤ 90°:
d = 3.900 Å, intensity 23
d = 2.842 Å, intensity 100
d = 2.252 Å, intensity 41
d = 2.075 Å, intensity 11
d = 1.765 Å, intensity 25
d = 1.526 Å, intensity 25
d = 1.389 Å, intensity 23
d = 1.304 Å, intensity 9
d = 1.300 Å, intensity 7
d = 1.102 Å, intensity 9

Structural model:
Cell: 4.504 4.504 4.151 Å, 90.00 90.00 120.00°
Positions (direct):
Pa (0.000, 0.000, 0.000)
Fe (0.667, 0.333, 0.500)
H (0.517, 0.034, 0.221)
H (0.517, 0.034, 0.779)
H (0.517, 0.483, 0.221)
H (0.517, 0.483, 0.779)
H (0.966, 0.483, 0.221)
H (0.966, 0.483, 0.779)
Pd (0.333, 0.667, 0.500)



# 4
MgGe2H8: theoretical X-ray powder pattern (Cu Ka), based on DFT lattice parameters and positions (GGA-PBE).
Lines closer than 0.1° are merged.

Largest 10 diffraction maxima, low angle first, 10° ≤ 2θ ≤ 90°:
d = 5.194 Å, intensity 23
d = 5.033 Å, intensity 53
d = 3.993 Å, intensity 27
d = 3.296 Å, intensity 100
d = 3.049 Å, intensity 37
d = 2.536 Å, intensity 55
d = 2.262 Å, intensity 30
d = 2.175 Å, intensity 18
d = 2.102 Å, intensity 23
d = 1.827 Å, intensity 20

Structural model:
Cell: 5.580 5.580 5.304 Å, 100.74 100.74 45.87°
Positions (direct):
Mg (0.000, 0.000, 0.000)
Ge (0.205, 0.205, 0.645)
Ge (0.795, 0.795, 0.355)
H (0.099, 0.099, 0.345)
H (0.131, 0.592, 0.223)
H (0.361, 0.361, 0.812)
H (0.408, 0.869, 0.777)
H (0.592, 0.131, 0.223)
H (0.639, 0.639, 0.188)
H (0.869, 0.408, 0.777)
H (0.901, 0.901, 0.655)



# 5
Y2CuRh3: theoretical X-ray powder pattern (Cu Ka), based on DFT lattice parameters and positions (GGA-PBE).
Lines closer than 0.1° are merged.

Largest 10 diffraction maxima, low angle first, 10° ≤ 2θ ≤ 90°:
d = 2.591 Å, intensity 36
d = 2.319 Å, intensity 77
d = 2.276 Å, intensity 100
d = 2.206 Å, intensity 69
d = 2.195 Å, intensity 40
d = 2.066 Å, intensity 21
d = 1.471 Å, intensity 26
d = 1.448 Å, intensity 20
d = 1.363 Å, intensity 31
d = 1.295 Å, intensity 28

Structural model:
Cell: 5.195 5.195 5.195 Å, 63.31 63.31 63.31°
Positions (direct):
Y (0.128, 0.128, 0.128)
Y (0.872, 0.872, 0.872)
Cu (0.500, 0.500, 0.500)
Rh (0.000, 0.500, 0.500)
Rh (0.500, 0.000, 0.500)
Rh (0.500, 0.500, 0.000)



# 6
AgBiSb: theoretical X-ray powder pattern (Cu Ka), based on DFT lattice parameters and positions (GGA-PBE).
Lines closer than 0.1° are merged.

Largest 10 diffraction maxima, low angle first, 10° ≤ 2θ ≤ 90°:
d = 4.627 Å, intensity 13
d = 3.013 Å, intensity 93
d = 2.525 Å, intensity 12
d = 2.498 Å, intensity 100
d = 2.130 Å, intensity 35
d = 1.621 Å, intensity 53
d = 1.506 Å, intensity 12
d = 1.347 Å, intensity 16
d = 1.290 Å, intensity 12
d = 1.103 Å, intensity 16

Structural model:
Cell: 5.521 5.521 5.521 Å, 134.61 134.61 66.14°
Positions (direct):
Ag (0.000, 0.000, 0.000)
Bi (0.317, 0.317, 0.000)
Sb (0.694, 0.694, 0.000)



# 7
Pm2DyTl2: theoretical X-ray powder pattern (Cu Ka), based on DFT lattice parameters and positions (GGA-PBE).
Lines closer than 0.1° are merged.

Largest 10 diffraction maxima, low angle first, 10° ≤ 2θ ≤ 90°:
d = 2.812 Å, intensity 100
d = 2.618 Å, intensity 19
d = 2.494 Å, intensity 19
d = 2.241 Å, intensity 14
d = 1.806 Å, intensity 13
d = 1.667 Å, intensity 11
d = 1.546 Å, intensity 13
d = 1.494 Å, intensity 15
d = 1.406 Å, intensity 11
d = 1.381 Å, intensity 13

Structural model:
Cell: 4.482 4.989 13.279 Å, 90.00 99.70 90.00°
Positions (direct):
Pm (0.049, 0.250, 0.099)
Pm (0.238, 0.250, 0.478)
Pm (0.762, 0.750, 0.522)
Pm (0.951, 0.750, 0.901)
Dy (0.143, 0.750, 0.287)
Dy (0.857, 0.250, 0.713)
Tl (0.350, 0.750, 0.700)
Tl (0.452, 0.250, 0.904)
Tl (0.548, 0.750, 0.096)
Tl (0.650, 0.250, 0.300)



# 8
Tm8RhAu2: theoretical X-ray powder pattern (Cu Ka), based on DFT lattice parameters and positions (GGA-PBE).
Lines closer than 0.1° are merged.

Largest 10 diffraction maxima, low angle first, 10° ≤ 2θ ≤ 90°:
d = 2.981 Å, intensity 63
d = 2.789 Å, intensity 100
d = 2.763 Å, intensity 68
d = 2.744 Å, intensity 29
d = 2.705 Å, intensity 38
d = 2.579 Å, intensity 68
d = 2.531 Å, intensity 90
d = 2.397 Å, intensity 44
d = 2.205 Å, intensity 23
d = 1.470 Å, intensity 25

Structural model:
Cell: 8.968 8.968 6.704 Å, 105.88 105.88 32.79°
Positions (direct):
Tm (0.029, 0.029, 0.287)
Tm (0.202, 0.202, 0.812)
Tm (0.339, 0.339, 0.532)
Tm (0.410, 0.410, 0.062)
Tm (0.590, 0.590, 0.938)
Tm (0.661, 0.661, 0.468)
Tm (0.798, 0.798, 0.188)
Tm (0.971, 0.971, 0.713)
Rh (0.500, 0.500, 0.500)
Au (0.186, 0.186, 0.221)
Au (0.814, 0.814, 0.779)



# 9
TbY3HoSc: theoretical X-ray powder pattern (Cu Ka), based on DFT lattice parameters and positions (GGA-PBE).
Lines closer than 0.1° are merged.

Largest 10 diffraction maxima, low angle first, 10° ≤ 2θ ≤ 90°:
d = 7.466 Å, intensity 14
d = 2.867 Å, intensity 100
d = 2.489 Å, intensity 17
d = 2.480 Å, intensity 34
d = 1.757 Å, intensity 23
d = 1.754 Å, intensity 12
d = 1.500 Å, intensity 14
d = 1.496 Å, intensity 27
d = 1.433 Å, intensity 12
d = 1.140 Å, intensity 11

Structural model:
Cell: 7.867 7.867 9.921 Å, 90.00 90.00 143.26°
Positions (direct):
Tb (0.000, 0.000, 0.000)
Tb (0.000, 0.000, 0.500)
Y (0.169, 0.831, 0.750)
Y (0.333, 0.667, 0.501)
Y (0.333, 0.667, 0.999)
Y (0.667, 0.333, 0.001)
Y (0.667, 0.333, 0.499)
Y (0.831, 0.169, 0.250)
Ho (0.498, 0.502, 0.750)
Ho (0.502, 0.498, 0.250)
Sc (0.166, 0.834, 0.250)
Sc (0.834, 0.166, 0.750)



# 10
Tl3Cd4Hg8: theoretical X-ray powder pattern (Cu Ka), based on DFT lattice parameters and positions (GGA-PBE).
Lines closer than 0.1° are merged.

Largest 10 diffraction maxima, low angle first, 10° ≤ 2θ ≤ 90°:
d = 2.835 Å, intensity 46
d = 2.604 Å, intensity 100
d = 2.490 Å, intensity 10
d = 2.455 Å, intensity 9
d = 1.918 Å, intensity 11
d = 1.841 Å, intensity 9
d = 1.544 Å, intensity 14
d = 1.503 Å, intensity 17
d = 1.480 Å, intensity 11
d = 1.424 Å, intensity 13

Structural model:
Cell: 10.415 10.415 10.415 Å, 60.00 60.00 60.00°
Positions (direct):
Tl (0.216, 0.216, 0.784)
Tl (0.216, 0.784, 0.216)
Tl (0.216, 0.784, 0.784)
Tl (0.784, 0.216, 0.216)
Tl (0.784, 0.216, 0.784)
Tl (0.784, 0.784, 0.216)
Cd (0.000, 0.000, 0.000)
Cd (0.000, 0.000, 0.500)
Cd (0.000, 0.500, 0.000)
Cd (0.000, 0.500, 0.500)
Cd (0.500, 0.000, 0.000)
Cd (0.500, 0.000, 0.500)
Cd (0.500, 0.500, 0.000)
Cd (0.500, 0.500, 0.500)
Hg (0.141, 0.620, 0.620)
Hg (0.160, 0.160, 0.160)
Hg (0.160, 0.160, 0.519)
Hg (0.160, 0.519, 0.160)
Hg (0.380, 0.380, 0.380)
Hg (0.380, 0.380, 0.859)
Hg (0.380, 0.859, 0.380)
Hg (0.481, 0.840, 0.840)
Hg (0.519, 0.160, 0.160)
Hg (0.620, 0.141, 0.620)
Hg (0.620, 0.620, 0.141)
Hg (0.620, 0.620, 0.620)
Hg (0.840, 0.481, 0.840)
Hg (0.840, 0.840, 0.481)
Hg (0.840, 0.840, 0.840)
Hg (0.859, 0.380, 0.380)



# 11
TaAg2Rh: theoretical X-ray powder pattern (Cu Ka), based on DFT lattice parameters and positions (GGA-PBE).
Lines closer than 0.1° are merged.

Largest 10 diffraction maxima, low angle first, 10° ≤ 2θ ≤ 90°:
d = 3.719 Å, intensity 4
d = 3.221 Å, intensity 3
d = 2.277 Å, intensity 100
d = 1.942 Å, intensity 2
d = 1.610 Å, intensity 17
d = 1.478 Å, intensity 1
d = 1.440 Å, intensity 1
d = 1.315 Å, intensity 33
d = 1.240 Å, intensity 1
d = 1.139 Å, intensity 11

Structural model:
Cell: 4.555 4.555 4.555 Å, 60.00 60.00 60.00°
Positions (direct):
Ta (0.000, 0.000, 0.000)
Ag (0.250, 0.250, 0.250)
Ag (0.500, 0.500, 0.500)
Rh (0.750, 0.750, 0.750)



# 12
Sm6ZnOs: theoretical X-ray powder pattern (Cu Ka), based on DFT lattice parameters and positions (GGA-PBE).
Lines closer than 0.1° are merged.

Largest 10 diffraction maxima, low angle first, 10° ≤ 2θ ≤ 90°:
d = 3.310 Å, intensity 10
d = 2.981 Å, intensity 10
d = 2.786 Å, intensity 100
d = 2.519 Å, intensity 50
d = 2.286 Å, intensity 14
d = 1.924 Å, intensity 11
d = 1.781 Å, intensity 18
d = 1.672 Å, intensity 9
d = 1.501 Å, intensity 31
d = 1.127 Å, intensity 8

Structural model:
Cell: 9.626 9.626 9.626 Å, 149.66 149.66 43.44°
Positions (direct):
Sm (0.096, 0.596, 0.500)
Sm (0.247, 0.247, 0.000)
Sm (0.404, 0.904, 0.500)
Sm (0.596, 0.096, 0.500)
Sm (0.753, 0.753, 0.000)
Sm (0.904, 0.404, 0.500)
Zn (0.000, 0.000, 0.000)
Os (0.500, 0.500, 0.000)